1.
Calculated X-ray powder pattern
Compound: Li5Cr2P2C2O14
Radiation: copper Kα
Structure: a crystal structure in Alexandria, relaxed with GGA+U
No peak broadening, texture or thermal motion is included.

Structural model:
```
Li5Cr2P2C2O14
1.0
5.0760 0.0000 0.0000
-0.3648 6.4034 0.0000
-0.7153 -0.9707 8.5405
Li Cr P C O
5 2 2 2 14
direct
0.0000 0.0000 0.0000
0.0164 0.6818 0.6582
0.5027 0.5291 0.4708
0.5369 0.9477 0.5100
0.8722 0.4569 0.9891
0.0720 0.2066 0.4178
0.4431 0.6981 0.0934
0.5405 0.2040 0.1764
0.9856 0.7007 0.3393
0.0017 0.2096 0.6967
0.5485 0.7243 0.7938
0.0632 0.5280 0.4496
0.0683 0.6404 0.1737
0.1498 0.9019 0.4223
0.2340 0.2415 0.6446
0.3013 0.7170 0.8111
0.3754 0.0105 0.0912
0.4290 0.2642 0.3378
0.5317 0.3872 0.0751
0.6393 0.7243 0.6570
0.6868 0.7304 0.3411
0.7203 0.7298 0.9181
0.8085 0.1764 0.5808
0.8387 0.1533 0.2084
0.9602 0.2132 0.8394
```

Main lines, sorted by position (2θ = 10–80°):
| two_theta | I/Imax |
| --- | --- |
| 10.36 | 100.0 |
| 18.30 | 13.4 |
| 19.61 | 28.5 |
| 21.24 | 40.8 |
| 24.13 | 21.8 |
| 26.10 | 28.6 |
| 26.76 | 16.8 |
| 28.05 | 71.2 |
| 33.46 | 15.2 |
| 36.20 | 17.9 |
| 42.36 | 16.8 |
| 45.24 | 14.6 |

2.
Calculated X-ray powder pattern
Compound: Li6VCrP2C2O14
Radiation: copper Kα
Structure: a crystal structure in Alexandria, relaxed with GGA+U
No peak broadening, texture or thermal motion is included.

Structural model:
```
Li6VCrP2C2O14
1.0
5.0040 0.0000 0.0000
0.0000 6.5280 0.0000
-0.9283 0.0000 8.5914
Li V Cr P C O
6 1 1 2 2 14
direct
0.0000 0.0000 0.0000
0.0822 0.2742 0.6232
0.0822 0.7258 0.6232
0.5260 0.2302 0.1698
0.5260 0.7698 0.1698
0.6081 0.5000 0.7836
0.5996 0.0000 0.5679
0.0043 0.5000 0.2282
0.0727 0.0000 0.3060
0.5455 0.5000 0.4891
0.1318 0.5000 0.9338
0.4711 0.0000 0.8557
0.2231 0.5000 0.7990
0.2339 0.5000 0.4782
0.2905 0.0000 0.7340
0.2990 0.5000 0.0630
0.3869 0.0000 0.3240
0.4015 0.0000 0.9959
0.6336 0.5000 0.3228
0.6616 0.3160 0.5892
0.6616 0.6840 0.5892
0.7207 0.0000 0.8282
0.8790 0.5000 0.9475
0.9630 0.1854 0.2032
0.9630 0.8146 0.2032
0.9761 0.0000 0.4686
```

Main lines, sorted by position (2θ = 10–80°):
| two_theta | I/Imax |
| --- | --- |
| 10.30 | 73.9 |
| 17.06 | 15.7 |
| 19.64 | 27.6 |
| 21.58 | 58.8 |
| 25.58 | 24.5 |
| 25.91 | 29.8 |
| 27.32 | 100.0 |
| 31.23 | 17.6 |
| 34.47 | 21.0 |
| 36.51 | 34.5 |
| 40.43 | 25.2 |
| 56.38 | 15.1 |